AcCu4Cl12: theoretical PXRD pattern (a wavelength of 1.5418 Å), based on DFT lattice parameters and positions (PBE).
No peak broadening, texture or thermal motion is included.

Crystal structure
```
data_AcCu4Cl12
_symmetry_space_group_name_H-M 'I m -3'
_symmetry_Int_Tables_number 204
_symmetry_space_group_name_Hall '-I 2 2 3'
_cell_length_a 9.2387
_cell_length_b 9.2387
_cell_length_c 9.2387
_cell_angle_alpha 90.00
_cell_angle_beta 90.00
_cell_angle_gamma 90.00
loop_
_atom_site_label
_atom_site_type_symbol
_atom_site_fract_x
_atom_site_fract_y
_atom_site_fract_z
Ac1 Ac 0.0000 0.0000 0.0000
Cu1 Cu 0.2500 0.2500 0.2500
Cl1 Cl 0.0000 0.1918 0.2844
```

Largest 12 diffraction maxima, by angle, 10 to 80 degrees two-theta:
| 2θ (°) | intensity | h k l |
| --- | --- | --- |
| 13.6 | 100 | 1 1 0 |
| 23.6 | 36 | 2 1 1 |
| 27.3 | 47 | 2 2 0 |
| 30.6 | 45 | 3 1 0 |
| 36.4 | 60 | 3 2 1 |
| 39.0 | 40 | 4 0 0 |
| 41.5 | 16 | 4 1 1 |
| 48.3 | 41 | 4 2 2 |
| 50.4 | 22 | 4 3 1 |
| 56.3 | 18 | 4 4 0 |
| 61.9 | 22 | 5 3 2 |
| 77.3 | 17 | 6 4 2 |

AcCuClO2: theoretical PXRD pattern (a wavelength of 1.5418 Å), based on DFT lattice parameters and positions (PBE).
No peak broadening, texture or thermal motion is included.

Crystal structure
```
data_AcCuClO2
_symmetry_space_group_name_H-M 'C m c m'
_symmetry_Int_Tables_number 63
_symmetry_space_group_name_Hall '-C 2c 2'
_cell_length_a 5.5924
_cell_length_b 12.6905
_cell_length_c 5.5778
_cell_angle_alpha 90.00
_cell_angle_beta 90.00
_cell_angle_gamma 90.00
loop_
_atom_site_label
_atom_site_type_symbol
_atom_site_fract_x
_atom_site_fract_y
_atom_site_fract_z
Ac1 Ac 0.0000 0.1131 0.2500
Cu1 Cu 0.0000 0.4853 0.2500
Cl1 Cl 0.0000 0.2483 0.7500
O1 O 0.2431 0.5000 0.0000
```

Largest 12 diffraction maxima, by angle, 10 to 80 degrees two-theta:
| 2θ (°) | intensity | h k l |
| --- | --- | --- |
| 14.0 | 28 | 0 2 0 |
| 17.3 | 31 | 1 1 0 |
| 21.2 | 90 | 0 2 1 |
| 23.6 | 42 | 1 1 1 |
| 26.4 | 45 | 1 3 0 |
| 31.0 | 100 | 1 3 1 |
| 32.1 | 67 | 2 0 0 |
| 38.7 | 40 | 2 2 1 |
| 39.0 | 32 | 1 5 0 |
| 42.0 | 25 | 1 3 2 |
| 45.9 | 53 | 2 0 2 |
| 51.3 | 29 | 1 5 2 |

AcCuPCl: theoretical PXRD pattern (a wavelength of 1.5418 Å), based on DFT lattice parameters and positions (PBE).
No peak broadening, texture or thermal motion is included.

Crystal structure
```
data_AcCuPCl
_symmetry_space_group_name_H-M 'R -3 m'
_symmetry_Int_Tables_number 166
_symmetry_space_group_name_Hall '-R 3 2"'
_cell_length_a 4.2336
_cell_length_b 4.2336
_cell_length_c 40.3741
_cell_angle_alpha 90.00
_cell_angle_beta 90.00
_cell_angle_gamma 120.00
loop_
_atom_site_label
_atom_site_type_symbol
_atom_site_fract_x
_atom_site_fract_y
_atom_site_fract_z
Ac1 Ac 0.0000 0.0000 0.0791
Cu1 Cu 0.0000 0.0000 0.3112
P1 P 0.0000 0.0000 0.3704
Cl1 Cl 0.0000 0.0000 0.2093
```

Largest 12 diffraction maxima, by angle, 10 to 80 degrees two-theta:
| 2θ (°) | intensity | h k l |
| --- | --- | --- |
| 13.2 | 96 | 0 0 6 |
| 24.4 | 62 | 1 0 1 |
| 25.9 | 22 | 1 0 4 |
| 26.7 | 72 | 0 1 5 |
| 28.9 | 100 | 1 0 7 |
| 30.1 | 65 | 0 1 8 |
| 33.0 | 21 | 1 0 10 |
| 38.0 | 71 | 1 0 13 |
| 39.8 | 22 | 0 1 14 |
| 42.7 | 76 | 1 1 0 |
| 44.9 | 30 | 1 1 6 |
| 60.1 | 30 | 1 1 18 |